1.
# NaTl4Cd2
Theoretical powder X-ray diffraction pattern, Cu Kα (λ = 1.5418 Å). Input: the PBE geometry in Alexandria.

Peak list (8 most intense, 10 to 90 degrees two-theta, by angle)
29.95°, I = 62; 30.43°, I = 100; 31.46°, I = 61; 32.37°, I = 37; 33.67°, I = 35; 34.06°, I = 36; 35.86°, I = 38; 36.15°, I = 43

a b c (Å): 7.353 7.782 8.660
angles (deg): 102.27 113.84 106.28
Element x y z (fractional)
Na 0.000 0.000 0.000
Na 0.335 0.853 0.670
Tl 0.041 0.560 0.803
Tl 0.237 0.706 0.248
Tl 0.390 0.217 0.460
Tl 0.449 0.408 0.162
Tl 0.518 0.982 0.113
Tl 0.743 0.299 0.942
Tl 0.886 0.830 0.336
Tl 0.973 0.377 0.391
Cd 0.211 0.219 0.741
Cd 0.570 0.620 0.887
Cd 0.660 0.668 0.583
Cd 0.740 0.065 0.580


2.
# Na7Tl12Cd
Theoretical powder X-ray diffraction pattern, Cu Kα (λ = 1.5418 Å). Input: the PBE geometry in Alexandria.

Peak list (8 most intense, 10 to 90 degrees two-theta, by angle)
16.92°, I = 34; 27.44°, I = 66; 30.18°, I = 100; 33.03°, I = 90; 35.08°, I = 54; 37.32°, I = 58; 52.38°, I = 38; 54.02°, I = 32

a b c (Å): 8.900 8.900 8.900
angles (deg): 107.44 107.44 107.44
Element x y z (fractional)
Na 0.000 0.000 0.000
Na 0.174 0.621 0.495
Na 0.379 0.505 0.826
Na 0.495 0.174 0.621
Na 0.505 0.826 0.379
Na 0.621 0.495 0.174
Na 0.826 0.379 0.505
Tl 0.107 0.821 0.270
Tl 0.119 0.211 0.437
Tl 0.179 0.730 0.893
Tl 0.211 0.437 0.119
Tl 0.270 0.107 0.821
Tl 0.437 0.119 0.211
Tl 0.563 0.881 0.789
Tl 0.730 0.893 0.179
Tl 0.789 0.563 0.881
Tl 0.821 0.270 0.107
Tl 0.881 0.789 0.563
Tl 0.893 0.179 0.730
Cd 0.500 0.500 0.500


3.
# Na2Tl7Cd
Theoretical powder X-ray diffraction pattern, Cu Kα (λ = 1.5418 Å). Input: the PBE geometry in Alexandria.

Peak list (8 most intense, 10 to 90 degrees two-theta, by angle)
15.13°, I = 96; 26.36°, I = 69; 30.53°, I = 100; 34.24°, I = 54; 43.72°, I = 76; 46.52°, I = 29; 51.78°, I = 33; 72.13°, I = 34

a b c (Å): 8.282 8.282 8.282
angles (deg): 60.00 60.00 60.00
Element x y z (fractional)
Na 0.250 0.250 0.250
Na 0.750 0.750 0.750
Tl 0.000 0.000 0.000
Tl 0.254 0.254 0.746
Tl 0.254 0.746 0.254
Tl 0.254 0.746 0.746
Tl 0.746 0.254 0.254
Tl 0.746 0.254 0.746
Tl 0.746 0.746 0.254
Cd 0.500 0.500 0.500